[1]
Starting from DFT lattice parameters and positions (GGA-PBE), the PXRD pattern of Pu2HIr was simulated for Cu Kα, 1.54184 Å.
Intensities are scaled so that the largest is 100.

Atomic structure:
Lattice parameters (Å, degrees): 3.0122 5.8753 8.2244 69.16 83.66 82.09
Sites, in units of the cell vectors:
Pu  0.0981  0.3109  0.3835
Pu  0.1330  0.7698  0.9963
Pu  0.8670  0.2302  0.0037
Pu  0.9019  0.6891  0.6165
H  0.3540  0.5256  0.8481
H  0.6460  0.4744  0.1519
Ir  0.4539  0.8648  0.2974
Ir  0.5461  0.1352  0.7026

Top 10 peaks for 2θ from 10° to 90°, by angle:
2theta, I (rel.)
32.8, 78
33.0, 100
35.1, 80
35.5, 59
36.6, 42
37.0, 65
37.4, 96
38.6, 33
53.2, 32
66.7, 29

---

[2]
Starting from DFT lattice parameters and positions (GGA-PBE), the PXRD pattern of Er5Tm4 was simulated for Cu Kα, 1.54184 Å.
Intensities are scaled so that the largest is 100.

Atomic structure:
Lattice parameters (Å, degrees): 8.9376 8.9376 8.9376 157.10 96.46 88.06
Sites, in units of the cell vectors:
Er  0.0000  0.0000  0.0000
Er  0.2923  0.0000  0.2923
Er  0.3736  0.3736  0.0000
Er  0.6264  0.6264  0.0000
Er  0.7077  0.0000  0.7077
Tm  0.0456  0.6901  0.3555
Tm  0.3346  0.6901  0.6445
Tm  0.6654  0.3099  0.3555
Tm  0.9544  0.3099  0.6445

Top 10 peaks for 2θ from 10° to 90°, by angle:
2theta, I (rel.)
29.7, 20
30.7, 94
32.8, 100
33.2, 30
33.9, 92
35.7, 21
51.5, 18
53.7, 34
55.2, 19
61.2, 27

---

[3]
Starting from DFT lattice parameters and positions (GGA-PBE), the PXRD pattern of La5Pm2Pb was simulated for Cu Kα, 1.54184 Å.
Intensities are scaled so that the largest is 100.

Atomic structure:
Lattice parameters (Å, degrees): 8.6210 7.3598 6.8877 74.39 55.31 50.31
Sites, in units of the cell vectors:
La  0.0000  0.0000  0.0000
La  0.0827  0.0827  0.4173
La  0.5312  0.9823  0.4688
La  0.5827  0.5827  0.9173
La  0.9823  0.5312  0.0177
Pm  0.1149  0.5703  0.4297
Pm  0.5703  0.1149  0.8851
Pb  0.5101  0.5101  0.4899

Top 10 peaks for 2θ from 10° to 90°, by angle:
2theta, I (rel.)
27.9, 15
28.0, 9
30.8, 24
32.0, 100
42.1, 15
49.5, 13
55.5, 18
59.3, 7
59.5, 14
60.1, 10